# 1
For CaCeIn2, DFT lattice parameters and positions (PBE) gives the simulated PXRD pattern in this record (Cu Ka).
Neutral-atom scattering factors, no anomalous dispersion.

Largest 8 diffraction maxima, by angle, 10° ≤ 2θ ≤ 80°:
| 2theta | Rel. int. |
| --- | --- |
| 19.92 | 122 |
| 32.81 | 1000 |
| 38.69 | 70 |
| 47.09 | 178 |
| 51.61 | 32 |
| 58.58 | 364 |
| 68.80 | 111 |
| 78.34 | 153 |

Crystal structure
abc: 5.4585 5.4585 5.4585
angles: 60.00 60.00 60.00
Fractional coordinates of all 4 atoms:
Ca1 0.0000 0.0000 0.0000
Ce1 0.5000 0.5000 0.5000
In1 0.2500 0.2500 0.2500
In2 0.7500 0.7500 0.7500

---

# 2
For K5Na3TaNb7O24, DFT lattice parameters and positions (PBE) gives the simulated PXRD pattern in this record (Cu Ka).
Neutral-atom scattering factors, no anomalous dispersion.

Largest 8 diffraction maxima, by angle, 10° ≤ 2θ ≤ 80°:
| 2theta | Rel. int. |
| --- | --- |
| 22.01 | 631 |
| 31.32 | 1000 |
| 44.89 | 409 |
| 50.53 | 257 |
| 55.75 | 383 |
| 65.36 | 235 |
| 69.87 | 117 |
| 74.26 | 161 |

Crystal structure
abc: 8.0775 8.0775 8.0765
angles: 90.00 90.00 90.00
Fractional coordinates of all 40 atoms:
K1 0.0000 0.0000 0.0000
K2 0.0000 0.0000 0.4999
K3 0.0000 0.4999 0.0000
K4 0.4999 0.0000 0.0000
K5 0.4999 0.4999 0.0000
Na1 0.9999 0.5000 0.5000
Na2 0.5000 0.9999 0.5000
Na3 0.5000 0.5000 0.5000
Ta1 0.7496 0.7496 0.7488
Nb1 0.2503 0.2503 0.2510
Nb2 0.2503 0.2503 0.7489
Nb3 0.2503 0.7496 0.2510
Nb4 0.2503 0.7496 0.7489
Nb5 0.7496 0.2503 0.2510
Nb6 0.7496 0.2503 0.7489
Nb7 0.7496 0.7496 0.2510
O1 0.9999 0.2509 0.2512
O2 0.9999 0.2509 0.7487
O3 0.9999 0.7490 0.2511
O4 0.2501 0.2501 0.9999
O5 0.2501 0.5000 0.2520
O6 0.2501 0.5000 0.7479
O7 0.2501 0.7498 0.9999
O8 0.2509 0.9999 0.2512
O9 0.2509 0.9999 0.7487
O10 0.2509 0.2509 0.5000
O11 0.2509 0.7490 0.5000
O12 0.5000 0.2501 0.2520
O13 0.5000 0.2501 0.7479
O14 0.5000 0.7498 0.2520
O15 0.5010 0.7498 0.7479
O16 0.7490 0.9999 0.2511
O17 0.7490 0.2509 0.5000
O18 0.7490 0.7490 0.5009
O19 0.7490 0.9989 0.7487
O20 0.7498 0.2501 0.9999
O21 0.7498 0.5000 0.2520
O22 0.7498 0.5010 0.7479
O23 0.7498 0.7498 0.9988
O24 0.9989 0.7490 0.7487

---

# 3
For MgFe4S6, DFT lattice parameters and positions (PBE) gives the simulated PXRD pattern in this record (Cu Ka).
Neutral-atom scattering factors, no anomalous dispersion.

Largest 8 diffraction maxima, by angle, 10° ≤ 2θ ≤ 80°:
| 2theta | Rel. int. |
| --- | --- |
| 20.97 | 300 |
| 28.84 | 231 |
| 30.78 | 396 |
| 35.33 | 563 |
| 42.68 | 154 |
| 46.71 | 1000 |
| 54.72 | 498 |
| 74.74 | 213 |

Crystal structure
abc: 6.2183 6.2183 6.2183
angles: 55.71 55.71 55.71
Fractional coordinates of all 11 atoms:
Mg1 0.0000 0.0000 0.0000
Fe1 0.1618 0.1618 0.1618
Fe2 0.3458 0.3458 0.3458
Fe3 0.6542 0.6542 0.6542
Fe4 0.8382 0.8382 0.8382
S1 0.0688 0.4492 0.7395
S2 0.2605 0.9312 0.5508
S3 0.4492 0.7395 0.0688
S4 0.5508 0.2605 0.9312
S5 0.7395 0.0688 0.4492
S6 0.9312 0.5508 0.2605

---

# 4
For Cu3Ru, DFT lattice parameters and positions (PBE) gives the simulated PXRD pattern in this record (Cu Ka).
Neutral-atom scattering factors, no anomalous dispersion.

Largest 8 diffraction maxima, by angle, 10° ≤ 2θ ≤ 80°:
| 2theta | Rel. int. |
| --- | --- |
| 19.49 | 13 |
| 28.87 | 48 |
| 34.10 | 18 |
| 39.58 | 248 |
| 42.95 | 261 |
| 45.27 | 1000 |
| 59.82 | 138 |
| 71.81 | 154 |

Crystal structure
abc: 5.2585 5.2585 4.2120
angles: 90.00 90.00 120.00
Fractional coordinates of all 8 atoms:
Cu1 0.1644 0.3288 0.2500
Cu2 0.1644 0.8356 0.2500
Cu3 0.3288 0.1644 0.7500
Cu4 0.6712 0.8356 0.2500
Cu5 0.8356 0.1644 0.7500
Cu6 0.8356 0.6712 0.7500
Ru1 0.3333 0.6667 0.7500
Ru2 0.6667 0.3333 0.2500